Entry 1:
# Ti3Nb
Computed powder diffraction line list, Cu Kα, 1.54184 Å. Input: DFT lattice parameters and positions (GGA-PBE).
No peak broadening, texture or thermal motion is included.

Most intense lines, 2θ = 15–90°, low angle first:
2θ 35.52, I = 24
2θ 37.51, I = 28
2θ 40.34, I = 100
2θ 63.79, I = 16
2θ 69.59, I = 18
2θ 76.41, I = 18

Atomic structure:
```
data_Ti3Nb
_chemical_formula_sum 'Ti6 Nb2'
_symmetry_space_group_name_H-M 'P 63/m m c'
_symmetry_Int_Tables_number 194
_symmetry_space_group_name_Hall '-P 6c 2c'
_cell_length_a 5.8360
_cell_length_b 5.8360
_cell_length_c 4.7959
_cell_angle_alpha 90.00
_cell_angle_beta 90.00
_cell_angle_gamma 120.00
loop_
_atom_site_label
_atom_site_type_symbol
_atom_site_fract_x
_atom_site_fract_y
_atom_site_fract_z
Ti1 Ti 0.1658 0.3316 0.2500
Nb1 Nb 0.3333 0.6667 0.7500
```

***

Entry 2:
# Mg6BiW
Computed powder diffraction line list, Cu Kα, 1.54184 Å. Input: DFT lattice parameters and positions (GGA-PBE).
No peak broadening, texture or thermal motion is included.

Most intense lines, 2θ = 15–90°, low angle first:
2θ 16.35, I = 89
2θ 17.10, I = 80
2θ 23.75, I = 74
2θ 33.75, I = 44
2θ 37.45, I = 53
2θ 38.07, I = 100

Atomic structure:
```
data_Mg6BiW
_chemical_formula_sum 'Mg12 Bi2 W2'
_symmetry_space_group_name_H-M 'A m m 2'
_symmetry_Int_Tables_number 38
_cell_length_a 5.1852
_cell_length_b 6.0940
_cell_length_c 10.8398
_cell_angle_alpha 90.00
_cell_angle_beta 90.00
_cell_angle_gamma 90.00
loop_
_symmetry_equiv_pos_as_xyz
'x,y,z'
'-x,-y,z'
'-x,y,z'
'x,-y,z'
'x,y+1/2,z+1/2'
'-x,-y+1/2,z+1/2'
'-x,y+1/2,z+1/2'
'x,-y+1/2,z+1/2'
loop_
_atom_site_label
_atom_site_type_symbol
_atom_site_fract_x
_atom_site_fract_y
_atom_site_fract_z
Mg1 Mg 0.0000 0.0000 0.0000
Mg2 Mg 0.0000 0.0000 0.4868
Mg3 Mg 0.0000 0.2327 0.2477
Mg4 Mg 0.5000 0.2480 0.5792
Bi1 Bi 0.5000 0.0000 0.8316
W1 W 0.5000 0.0000 0.3270
```

***

Entry 3:
# TbNi2B2
Computed powder diffraction line list, Cu Kα, 1.54184 Å. Input: DFT lattice parameters and positions (GGA-PBE).
No peak broadening, texture or thermal motion is included.

Most intense lines, 2θ = 15–90°, low angle first:
2θ 26.49, I = 37
2θ 32.71, I = 62
2θ 37.06, I = 42
2θ 37.32, I = 66
2θ 37.73, I = 100
2θ 43.83, I = 36

Atomic structure:
```
data_TbNi2B2
_chemical_formula_sum 'Tb4 Ni8 B8'
_symmetry_space_group_name_H-M 'C 1 2/c 1'
_symmetry_Int_Tables_number 15
_cell_length_a 8.4154
_cell_length_b 5.2977
_cell_length_c 6.8480
_cell_angle_alpha 90.00
_cell_angle_beta 126.90
_cell_angle_gamma 90.00
loop_
_symmetry_equiv_pos_as_xyz
'x,y,z'
'-x,-y,-z'
'-x,y,-z+1/2'
'x,-y,z+1/2'
'x+1/2,y+1/2,z'
'-x+1/2,-y+1/2,-z'
'-x+1/2,y+1/2,-z+1/2'
'x+1/2,-y+1/2,z+1/2'
loop_
_atom_site_label
_atom_site_type_symbol
_atom_site_fract_x
_atom_site_fract_y
_atom_site_fract_z
Tb1 Tb 0.0000 0.1181 0.2500
Ni1 Ni 0.1264 0.4057 0.6998
B1 B 0.1705 0.3247 0.0243
```

***

Entry 4:
# K2Na2Sm2MgNb2O10
Computed powder diffraction line list, Cu Kα, 1.54184 Å. Input: DFT lattice parameters and positions (GGA-PBE).
No peak broadening, texture or thermal motion is included.

Most intense lines, 2θ = 15–90°, low angle first:
2θ 18.03, I = 75
2θ 28.69, I = 100
2θ 29.67, I = 66
2θ 30.40, I = 57
2θ 34.65, I = 45
2θ 36.45, I = 46

Atomic structure:
```
data_K2Na2Sm2MgNb2O10
_chemical_formula_sum 'K4 Na4 Sm4 Mg2 Nb4 O20'
_symmetry_space_group_name_H-M 'C 1 m 1'
_symmetry_Int_Tables_number 8
_cell_length_a 8.0564
_cell_length_b 8.6029
_cell_length_c 9.0137
_cell_angle_alpha 90.00
_cell_angle_beta 90.30
_cell_angle_gamma 90.00
loop_
_symmetry_equiv_pos_as_xyz
'x,y,z'
'x,-y,z'
'x+1/2,y+1/2,z'
'x+1/2,-y+1/2,z'
loop_
_atom_site_label
_atom_site_type_symbol
_atom_site_fract_x
_atom_site_fract_y
_atom_site_fract_z
K1 K 0.0000 0.1912 0.0000
Na1 Na 0.2712 0.0000 0.3253
Na2 Na 0.3316 0.5000 0.7225
Sm1 Sm 0.0689 0.2829 0.5255
Mg1 Mg 0.0578 0.5000 0.1411
Nb1 Nb 0.3224 0.0000 0.7758
Nb2 Nb 0.3545 0.5000 0.3384
O1 O 0.0476 0.0000 0.4730
O2 O 0.0578 0.5000 0.6767
O3 O 0.0609 0.5000 0.3537
O4 O 0.0911 0.0000 0.8055
O5 O 0.2891 0.5000 0.1131
O6 O 0.3153 0.2107 0.6895
O7 O 0.3255 0.2758 0.3790
O8 O 0.3953 0.0000 0.9820
```

***

Entry 5:
# Cu3P6O32
Computed powder diffraction line list, Cu Kα, 1.54184 Å. Input: DFT lattice parameters and positions (GGA-PBE).
No peak broadening, texture or thermal motion is included.

Most intense lines, 2θ = 15–90°, low angle first:
2θ 15.37, I = 100
2θ 16.73, I = 46
2θ 17.42, I = 30
2θ 24.36, I = 44
2θ 29.49, I = 17
2θ 29.65, I = 44

Atomic structure:
```
data_Cu3P6O32
_chemical_formula_sum 'Cu3 P6 O32'
_symmetry_space_group_name_H-M 'P -1'
_symmetry_Int_Tables_number 2
_cell_length_a 6.4970
_cell_length_b 9.4563
_cell_length_c 11.0997
_cell_angle_alpha 106.64
_cell_angle_beta 95.04
_cell_angle_gamma 106.62
loop_
_symmetry_equiv_pos_as_xyz
'x,y,z'
'-x,-y,-z'
loop_
_atom_site_label
_atom_site_type_symbol
_atom_site_fract_x
_atom_site_fract_y
_atom_site_fract_z
Cu1 Cu 0.0000 0.0000 0.0000
Cu2 Cu 0.0870 0.6246 0.3811
P1 P 0.2823 0.1299 0.8056
P2 P 0.3829 0.4480 0.7792
P3 P 0.4551 0.7695 0.9416
O1 O 0.0296 0.3488 0.3863
O2 O 0.0836 0.8189 0.9737
O3 O 0.0864 0.0412 0.8504
O4 O 0.1596 0.7727 0.2899
O5 O 0.1749 0.2897 0.3661
O6 O 0.2186 0.4495 0.6737
O7 O 0.2441 0.8157 0.8952
O8 O 0.2544 0.9227 0.3773
O9 O 0.2712 0.3043 0.8291
O10 O 0.3074 0.0547 0.6733
O11 O 0.3330 0.6615 0.4781
O12 O 0.3632 0.0186 0.3313
O13 O 0.3677 0.1648 0.1206
O14 O 0.3766 0.5858 0.9095
O15 O 0.3905 0.5366 0.2402
O16 O 0.4941 0.8330 0.0928
```

***

Entry 6:
# Na3Ga3Ge3O16
Computed powder diffraction line list, Cu Kα, 1.54184 Å. Input: DFT lattice parameters and positions (GGA-PBE).
No peak broadening, texture or thermal motion is included.

Most intense lines, 2θ = 15–90°, low angle first:
2θ 19.23, I = 42
2θ 23.55, I = 100
2θ 23.93, I = 51
2θ 33.45, I = 84
2θ 34.20, I = 29
2θ 36.16, I = 31

Atomic structure:
```
data_Na3Ga3Ge3O16
_chemical_formula_sum 'Na18 Ga18 Ge18 O96'
_symmetry_space_group_name_H-M 'R 3 c'
_symmetry_Int_Tables_number 161
_symmetry_space_group_name_Hall 'R 3 -2"c'
_cell_length_a 13.1609
_cell_length_b 13.1609
_cell_length_c 15.7328
_cell_angle_alpha 90.00
_cell_angle_beta 90.00
_cell_angle_gamma 120.00
loop_
_atom_site_label
_atom_site_type_symbol
_atom_site_fract_x
_atom_site_fract_y
_atom_site_fract_z
Na1 Na 0.2186 0.4384 0.0000
Ga1 Ga 0.0015 0.2464 0.6404
Ge1 Ge 0.9999 0.2478 0.1411
O1 O 0.0000 0.0000 0.3276
O2 O 0.0026 0.2783 0.2516
O3 O 0.0041 0.2813 0.7559
O4 O 0.0383 0.5145 0.7678
O5 O 0.0516 0.1041 0.9090
O6 O 0.1813 0.0867 0.1303
```

***

Entry 7:
# PbIF
Computed powder diffraction line list, Cu Kα, 1.54184 Å. Input: DFT lattice parameters and positions (GGA-PBE).
No peak broadening, texture or thermal motion is included.

Most intense lines, 2θ = 15–90°, low angle first:
2θ 28.28, I = 100
2θ 29.83, I = 49
2θ 35.48, I = 20
2θ 42.69, I = 23
2θ 43.84, I = 27
2θ 52.00, I = 38

Atomic structure:
```
data_PbIF
_chemical_formula_sum 'Pb2 I2 F2'
_symmetry_space_group_name_H-M 'P 4/n m m'
_symmetry_Int_Tables_number 129
_cell_length_a 4.2359
_cell_length_b 4.2359
_cell_length_c 9.4597
_cell_angle_alpha 90.00
_cell_angle_beta 90.00
_cell_angle_gamma 90.00
loop_
_symmetry_equiv_pos_as_xyz
'x,y,z'
'-x,-y,-z'
'-y+1/2,x,z'
'y+1/2,-x,-z'
'-x+1/2,-y+1/2,z'
'x+1/2,y+1/2,-z'
'y,-x+1/2,z'
'-y,x+1/2,-z'
'x+1/2,-y,-z'
'-x+1/2,y,z'
'-y,-x,-z'
'y,x,z'
'-x,y+1/2,-z'
'x,-y+1/2,z'
'y+1/2,x+1/2,-z'
'-y+1/2,-x+1/2,z'
loop_
_atom_site_label
_atom_site_type_symbol
_atom_site_fract_x
_atom_site_fract_y
_atom_site_fract_z
Pb1 Pb 0.2500 0.2500 0.1573
I1 I 0.2500 0.2500 0.6718
F1 F 0.2500 0.7500 0.0000
```

***

Entry 8:
# Cs3Bi2Cl9
Computed powder diffraction line list, Cu Kα, 1.54184 Å. Input: DFT lattice parameters and positions (GGA-PBE).
No peak broadening, texture or thermal motion is included.

Most intense lines, 2θ = 15–90°, low angle first:
2θ 22.75, I = 100
2θ 22.82, I = 27
2θ 29.90, I = 38
2θ 32.40, I = 48
2θ 39.91, I = 27
2θ 40.02, I = 28

Atomic structure:
```
data_Cs3Bi2Cl9
_chemical_formula_sum 'Cs12 Bi8 Cl36'
_symmetry_space_group_name_H-M 'P n m a'
_symmetry_Int_Tables_number 62
_cell_length_a 19.1916
_cell_length_b 7.7938
_cell_length_c 13.5394
_cell_angle_alpha 90.00
_cell_angle_beta 90.00
_cell_angle_gamma 90.00
loop_
_symmetry_equiv_pos_as_xyz
'x,y,z'
'-x,-y,-z'
'-x+1/2,-y,z+1/2'
'x+1/2,y,-z+1/2'
'x+1/2,-y+1/2,-z+1/2'
'-x+1/2,y+1/2,z+1/2'
'-x,y+1/2,-z'
'x,-y+1/2,z'
loop_
_atom_site_label
_atom_site_type_symbol
_atom_site_fract_x
_atom_site_fract_y
_atom_site_fract_z
Cs1 Cs 0.0867 0.2500 0.0782
Cs2 Cs 0.0896 0.7500 0.5908
Cs3 Cs 0.2488 0.2500 0.7526
Bi1 Bi 0.0013 0.7500 0.2390
Bi2 Bi 0.1820 0.2500 0.4212
Cl1 Cl 0.0765 0.0091 0.8355
Cl2 Cl 0.0806 0.7500 0.0839
Cl3 Cl 0.0886 0.2500 0.5891
Cl4 Cl 0.0896 0.0035 0.3325
Cl5 Cl 0.2423 0.7500 0.7603
Cl6 Cl 0.2478 0.5039 0.5083
```

***

Entry 9:
# PPbO4
Computed powder diffraction line list, Cu Kα, 1.54184 Å. Input: DFT lattice parameters and positions (GGA-PBE).
No peak broadening, texture or thermal motion is included.

Most intense lines, 2θ = 15–90°, low angle first:
2θ 19.66, I = 24
2θ 20.89, I = 38
2θ 25.91, I = 25
2θ 28.84, I = 100
2θ 38.80, I = 14
2θ 45.48, I = 18

Atomic structure:
```
data_PPbO4
_chemical_formula_sum 'P2 Pb2 O8'
_symmetry_space_group_name_H-M 'P 1 2/c 1'
_symmetry_Int_Tables_number 13
_cell_length_a 4.5155
_cell_length_b 6.8779
_cell_length_c 5.4108
_cell_angle_alpha 90.00
_cell_angle_beta 90.04
_cell_angle_gamma 90.00
loop_
_symmetry_equiv_pos_as_xyz
'x,y,z'
'-x,-y,-z'
'-x,y,-z+1/2'
'x,-y,z+1/2'
loop_
_atom_site_label
_atom_site_type_symbol
_atom_site_fract_x
_atom_site_fract_y
_atom_site_fract_z
P1 P 0.0000 0.2181 0.2500
Pb1 Pb 0.5000 0.2103 0.7500
O1 O 0.1681 0.3484 0.0623
O2 O 0.2310 0.0881 0.3898
```